Diffraction record for SiAg3. The X-ray diffraction stick pattern is simulated, not measured: it uses DFT lattice parameters and positions (PBE) and copper Kα.
Lines closer than 0.1° are merged.

Largest 10 diffraction maxima, by angle, 2θ from 5° to 70°:
2θ = 14.06°, I = 280
2θ = 27.28°, I = 133
2θ = 31.40°, I = 156
2θ = 36.97°, I = 1000
2θ = 38.61°, I = 267
2θ = 38.79°, I = 229
2θ = 42.32°, I = 217
2θ = 47.54°, I = 169
2θ = 58.62°, I = 132
2θ = 62.84°, I = 119

Atomic structure:
```
data_SiAg3
_cell_length_a 9.327
_cell_length_b 8.542
_cell_length_c 3.825
_cell_angle_alpha 90.00
_cell_angle_beta 90.00
_cell_angle_gamma 90.00
_space_group_name_H-M_alt 'P 1'
_space_group_IT_number 1
_space_group_name_Hall 'P 1'
loop_
_atom_site_label
_atom_site_type_symbol
_atom_site_fract_x
_atom_site_fract_y
_atom_site_fract_z
Si1 Si 0.000 0.078 0.250
Si2 Si 0.000 0.922 0.750
Si3 Si 0.500 0.422 0.750
Si4 Si 0.500 0.578 0.250
Ag1 Ag 0.000 0.371 0.250
Ag2 Ag 0.000 0.629 0.750
Ag3 Ag 0.229 0.372 0.750
Ag4 Ag 0.229 0.628 0.250
Ag5 Ag 0.271 0.128 0.250
Ag6 Ag 0.271 0.872 0.750
Ag7 Ag 0.500 0.129 0.750
Ag8 Ag 0.500 0.871 0.250
Ag9 Ag 0.729 0.128 0.250
Ag10 Ag 0.729 0.872 0.750
Ag11 Ag 0.771 0.372 0.750
Ag12 Ag 0.771 0.628 0.250
```

Diffraction record for Tb5AgHg6. The X-ray diffraction stick pattern is simulated, not measured: it uses DFT lattice parameters and positions (PBE) and copper Kα.
Lines closer than 0.1° are merged.

Largest 10 diffraction maxima, by angle, 2θ from 5° to 70°:
2θ = 24.05°, I = 12
2θ = 24.16°, I = 25
2θ = 34.22°, I = 247
2θ = 34.35°, I = 1000
2θ = 34.66°, I = 247
2θ = 49.25°, I = 92
2θ = 49.50°, I = 176
2θ = 61.35°, I = 270
2θ = 61.62°, I = 94
2θ = 61.92°, I = 185

Atomic structure:
```
data_Tb5AgHg6
_cell_length_a 9.066
_cell_length_b 9.066
_cell_length_c 9.066
_cell_angle_alpha 146.82
_cell_angle_beta 131.82
_cell_angle_gamma 59.75
_space_group_name_H-M_alt 'P 1'
_space_group_IT_number 1
_space_group_name_Hall 'P 1'
loop_
_atom_site_label
_atom_site_type_symbol
_atom_site_fract_x
_atom_site_fract_y
_atom_site_fract_z
Tb1 Tb 0.000 0.000 0.000
Tb2 Tb 0.172 0.672 0.500
Tb3 Tb 0.344 0.344 0.000
Tb4 Tb 0.656 0.656 0.000
Tb5 Tb 0.828 0.328 0.500
Ag1 Ag 0.500 0.000 0.500
Hg1 Hg 0.089 0.836 0.253
Hg2 Hg 0.244 0.500 0.744
Hg3 Hg 0.417 0.164 0.253
Hg4 Hg 0.583 0.836 0.747
Hg5 Hg 0.756 0.500 0.256
Hg6 Hg 0.911 0.164 0.747
```

Please write out number 1 again, unchanged.
Diffraction record for SiAg3. The X-ray diffraction stick pattern is simulated, not measured: it uses DFT lattice parameters and positions (PBE) and copper Kα.
Lines closer than 0.1° are merged.

Largest 10 diffraction maxima, by angle, 2θ from 5° to 70°:
2θ = 14.06°, I = 280
2θ = 27.28°, I = 133
2θ = 31.40°, I = 156
2θ = 36.97°, I = 1000
2θ = 38.61°, I = 267
2θ = 38.79°, I = 229
2θ = 42.32°, I = 217
2θ = 47.54°, I = 169
2θ = 58.62°, I = 132
2θ = 62.84°, I = 119

Atomic structure:
```
data_SiAg3
_cell_length_a 9.327
_cell_length_b 8.542
_cell_length_c 3.825
_cell_angle_alpha 90.00
_cell_angle_beta 90.00
_cell_angle_gamma 90.00
_space_group_name_H-M_alt 'P 1'
_space_group_IT_number 1
_space_group_name_Hall 'P 1'
loop_
_atom_site_label
_atom_site_type_symbol
_atom_site_fract_x
_atom_site_fract_y
_atom_site_fract_z
Si1 Si 0.000 0.078 0.250
Si2 Si 0.000 0.922 0.750
Si3 Si 0.500 0.422 0.750
Si4 Si 0.500 0.578 0.250
Ag1 Ag 0.000 0.371 0.250
Ag2 Ag 0.000 0.629 0.750
Ag3 Ag 0.229 0.372 0.750
Ag4 Ag 0.229 0.628 0.250
Ag5 Ag 0.271 0.128 0.250
Ag6 Ag 0.271 0.872 0.750
Ag7 Ag 0.500 0.129 0.750
Ag8 Ag 0.500 0.871 0.250
Ag9 Ag 0.729 0.128 0.250
Ag10 Ag 0.729 0.872 0.750
Ag11 Ag 0.771 0.372 0.750
Ag12 Ag 0.771 0.628 0.250
```